1.
The following is a computed X-ray powder pattern of LaMgAl. It was derived from DFT lattice parameters and positions (GGA-PBE), using λ = 1.5418 Å (Cu Kα).

Structure:
```
LaMgAl
1.0
5.5655 -2.2156 0.0000
5.5655 2.2156 0.0000
-2.3133 0.0000 6.8381
La Mg Al
2 2 2
direct
0.0000 0.0000 0.0000
0.6966 0.6966 0.4511
0.2400 0.2400 0.8150
0.3580 0.3580 0.2445
0.4506 0.4506 0.6605
0.9991 0.9991 0.4902
```

Peak list (12 most intense, 2θ = 10–90°, sorted by position)
17.6°, d 5.026, rel. 90
23.9°, d 3.716, rel. 69
24.4°, d 3.648, rel. 43
26.1°, d 3.419, rel. 47
26.8°, d 3.330, rel. 100
31.8°, d 2.811, rel. 32
32.0°, d 2.799, rel. 70
32.5°, d 2.754, rel. 84
36.4°, d 2.470, rel. 77
37.6°, d 2.390, rel. 33
40.7°, d 2.216, rel. 38
48.1°, d 1.893, rel. 32

***

2.
The following is a computed X-ray powder pattern of HgSb2F2. It was derived from DFT lattice parameters and positions (GGA-PBE), using λ = 1.5418 Å (Cu Kα).

Structure:
```
HgSb2F2
1.0
8.3857 0.0000 0.0000
0.0000 8.3857 0.0000
0.0000 0.0000 3.0031
Hg Sb F
2 4 4
direct
0.0000 0.0000 0.0000
0.5000 0.5000 0.0000
0.2158 0.2842 0.0000
0.2842 0.7842 0.0000
0.7158 0.2158 0.0000
0.7842 0.7158 0.0000
0.1314 0.6314 0.5000
0.3686 0.1314 0.5000
0.6314 0.8686 0.5000
0.8686 0.3686 0.5000
```

Peak list (12 most intense, 2θ = 10–90°, sorted by position)
14.9°, d 5.930, rel. 90
29.8°, d 3.003, rel. 52
30.1°, d 2.965, rel. 100
33.4°, d 2.679, rel. 41
33.8°, d 2.652, rel. 59
38.4°, d 2.344, rel. 21
42.9°, d 2.110, rel. 77
43.2°, d 2.096, rel. 24
45.6°, d 1.988, rel. 36
53.3°, d 1.719, rel. 39
70.3°, d 1.340, rel. 18
72.9°, d 1.297, rel. 23

***

3.
The following is a computed X-ray powder pattern of LiNp2O8. It was derived from DFT lattice parameters and positions (GGA-PBE), using λ = 1.5418 Å (Cu Kα).

Structure:
```
LiNp2O8
1.0
4.1898 0.0000 0.0000
0.0986 6.3641 0.0000
2.0538 2.7672 7.6192
Li Np O
1 2 8
direct
0.0000 0.0000 0.0000
0.1018 0.6799 0.7844
0.8982 0.3201 0.2156
0.0234 0.3278 0.9582
0.1119 0.9855 0.7505
0.1890 0.5585 0.6126
0.3972 0.3170 0.2178
0.6028 0.6830 0.7822
0.8110 0.4415 0.3874
0.8881 0.0145 0.2495
0.9766 0.6722 0.0418
```

Peak list (12 most intense, 2θ = 10–90°, sorted by position)
11.6°, d 7.619, rel. 12
14.8°, d 5.982, rel. 24
15.4°, d 5.755, rel. 100
21.8°, d 4.077, rel. 35
21.9°, d 4.051, rel. 36
22.1°, d 4.028, rel. 31
23.4°, d 3.810, rel. 34
25.3°, d 3.522, rel. 22
25.6°, d 3.474, rel. 20
33.3°, d 2.692, rel. 16
35.8°, d 2.508, rel. 13
43.2°, d 2.095, rel. 15

***

4.
The following is a computed X-ray powder pattern of PH5Se2. It was derived from DFT lattice parameters and positions (GGA-PBE), using λ = 1.5418 Å (Cu Kα).

Structure:
```
PH5Se2
1.0
4.7431 0.0000 0.0000
-2.1174 4.6258 0.0000
-0.5450 -1.7563 5.6774
P H Se
1 5 2
direct
0.0000 0.0000 0.0000
0.3299 0.1270 0.0915
0.4310 0.5816 0.4876
0.8631 0.0648 0.1998
0.8716 0.6817 0.8851
0.9331 0.1402 0.8291
0.2417 0.7540 0.4521
0.6879 0.2583 0.5366
```

Peak list (12 most intense, 2θ = 10–90°, sorted by position)
15.6°, d 5.677, rel. 100
21.6°, d 4.115, rel. 50
23.5°, d 3.789, rel. 29
25.8°, d 3.447, rel. 78
27.6°, d 3.228, rel. 55
31.5°, d 2.839, rel. 37
34.2°, d 2.621, rel. 20
35.4°, d 2.533, rel. 33
39.1°, d 2.302, rel. 24
40.1°, d 2.250, rel. 15
44.0°, d 2.058, rel. 15
48.4°, d 1.881, rel. 22

***

5.
The following is a computed X-ray powder pattern of ScCu6Si4. It was derived from DFT lattice parameters and positions (GGA-PBE), using λ = 1.5418 Å (Cu Kα).

Structure:
```
ScCu6Si4
1.0
6.7601 0.0000 0.0000
-3.3800 5.8544 0.0000
0.0000 0.0000 3.8292
Sc Cu Si
1 6 4
direct
0.0000 0.0000 0.0000
0.2044 0.4087 0.5000
0.2044 0.7956 0.5000
0.5374 0.0748 0.0000
0.5374 0.4626 0.0000
0.5913 0.7956 0.5000
0.9252 0.4626 0.0000
0.3333 0.6667 0.0000
0.3885 0.1942 0.5000
0.8058 0.1942 0.5000
0.8058 0.6115 0.5000
```

Peak list (12 most intense, 2θ = 10–90°, sorted by position)
15.1°, d 5.854, rel. 20
27.8°, d 3.205, rel. 22
38.7°, d 2.326, rel. 100
40.8°, d 2.213, rel. 25
46.5°, d 1.951, rel. 24
47.5°, d 1.915, rel. 78
54.3°, d 1.690, rel. 15
64.3°, d 1.448, rel. 12
68.7°, d 1.367, rel. 16
74.9°, d 1.267, rel. 22
82.4°, d 1.170, rel. 13
87.0°, d 1.120, rel. 13

***

6.
The following is a computed X-ray powder pattern of NdAs2Rh5Au. It was derived from DFT lattice parameters and positions (GGA-PBE), using λ = 1.5418 Å (Cu Kα).

Structure:
```
NdAs2Rh5Au
1.0
4.2466 0.0000 0.0000
0.0000 4.2466 0.0000
0.0000 0.0000 8.7463
Nd As Rh Au
1 2 5 1
direct
0.0000 0.0000 0.0000
0.5000 0.5000 0.3598
0.5000 0.5000 0.6402
0.0000 0.5000 0.2400
0.0000 0.5000 0.7600
0.5000 0.0000 0.2400
0.5000 0.0000 0.7600
0.5000 0.5000 0.0000
0.0000 0.0000 0.5000
```

Peak list (12 most intense, 2θ = 10–90°, sorted by position)
29.3°, d 3.047, rel. 18
36.3°, d 2.475, rel. 100
37.4°, d 2.404, rel. 11
41.3°, d 2.187, rel. 13
42.6°, d 2.123, rel. 48
46.7°, d 1.944, rel. 10
60.8°, d 1.523, rel. 16
61.8°, d 1.501, rel. 16
65.0°, d 1.434, rel. 8
72.0°, d 1.311, rel. 16
73.8°, d 1.284, rel. 25
77.1°, d 1.238, rel. 8

***

7.
The following is a computed X-ray powder pattern of Pr2YSe4. It was derived from DFT lattice parameters and positions (GGA-PBE), using λ = 1.5418 Å (Cu Kα).

Structure:
```
Pr2YSe4
1.0
-4.1765 4.2312 5.8369
4.1765 -4.2312 5.8369
4.1765 4.2312 -5.8369
Pr Y Se
4 2 8
direct
0.0000 0.0000 0.0000
0.5000 0.0000 0.0000
0.5000 0.0000 0.5000
0.5000 0.5000 0.5000
0.0000 0.0000 0.5000
0.0000 0.5000 0.0000
0.2334 0.7423 0.4911
0.2454 0.2465 0.5012
0.2454 0.7442 0.9988
0.2488 0.2577 0.9911
0.7512 0.7423 0.0089
0.7546 0.2558 0.0012
0.7546 0.7535 0.4988
0.7666 0.2577 0.5089
```

Peak list (12 most intense, 2θ = 10–90°, sorted by position)
13.0°, d 6.793, rel. 26
24.8°, d 3.592, rel. 12
30.1°, d 2.972, rel. 100
30.6°, d 2.918, rel. 47
42.7°, d 2.116, rel. 19
43.3°, d 2.088, rel. 18
43.5°, d 2.082, rel. 71
53.5°, d 1.713, rel. 19
54.0°, d 1.698, rel. 19
71.2°, d 1.324, rel. 16
72.1°, d 1.310, rel. 16
78.8°, d 1.215, rel. 12

***

8.
The following is a computed X-ray powder pattern of Zr2C. It was derived from DFT lattice parameters and positions (GGA-PBE), using λ = 1.5418 Å (Cu Kα).

Structure:
```
Zr2C
1.0
5.5211 0.0000 0.0000
0.0000 5.5211 0.0000
0.0000 0.0000 3.4088
Zr C
4 2
direct
0.2025 0.2025 0.0000
0.2975 0.7025 0.5000
0.7025 0.2975 0.5000
0.7975 0.7975 0.0000
0.0000 0.0000 0.5000
0.5000 0.5000 0.0000
```

Peak list (12 most intense, 2θ = 10–90°, sorted by position)
30.8°, d 2.901, rel. 9
32.4°, d 2.761, rel. 43
34.9°, d 2.568, rel. 100
36.4°, d 2.469, rel. 31
45.4°, d 2.000, rel. 10
46.5°, d 1.952, rel. 14
56.9°, d 1.619, rel. 19
59.5°, d 1.554, rel. 18
64.2°, d 1.450, rel. 12
66.7°, d 1.403, rel. 10
67.0°, d 1.397, rel. 12
70.3°, d 1.339, rel. 12

***

9.
The following is a computed X-ray powder pattern of DyGe3Rh5. It was derived from DFT lattice parameters and positions (GGA-PBE), using λ = 1.5418 Å (Cu Kα).

Structure:
```
DyGe3Rh5
1.0
1.9581 -6.4095 0.0000
1.9581 6.4095 0.0000
0.0000 0.0000 12.4349
Dy Ge Rh
2 6 10
direct
0.1398 0.8602 0.7500
0.8602 0.1398 0.2500
0.1176 0.8824 0.2500
0.3798 0.6202 0.0432
0.3798 0.6202 0.4568
0.6202 0.3798 0.5432
0.6202 0.3798 0.9568
0.8824 0.1176 0.7500
0.0000 0.0000 0.0000
0.0000 0.0000 0.5000
0.1988 0.8012 0.0733
0.1988 0.8012 0.4267
0.4542 0.5458 0.6450
0.4542 0.5458 0.8550
0.5458 0.4542 0.1450
0.5458 0.4542 0.3550
0.8012 0.1988 0.5733
0.8012 0.1988 0.9267
```

Peak list (12 most intense, 2θ = 10–90°, sorted by position)
31.0°, d 2.887, rel. 47
31.4°, d 2.849, rel. 24
31.8°, d 2.812, rel. 28
32.2°, d 2.779, rel. 100
34.2°, d 2.619, rel. 76
37.6°, d 2.392, rel. 88
43.0°, d 2.106, rel. 28
43.7°, d 2.072, rel. 27
44.7°, d 2.028, rel. 82
46.0°, d 1.972, rel. 29
46.4°, d 1.958, rel. 73
54.5°, d 1.684, rel. 27

***

10.
The following is a computed X-ray powder pattern of Li3Ti2Cu3O10. It was derived from DFT lattice parameters and positions (GGA-PBE), using λ = 1.5418 Å (Cu Kα).

Structure:
```
Li3Ti2Cu3O10
1.0
5.1356 0.0000 0.0000
-1.5824 5.1850 0.0000
-0.6961 -2.9943 7.2709
Li Ti Cu O
3 2 3 10
direct
0.0000 0.0000 0.0000
0.3254 0.5761 0.1312
0.6746 0.4239 0.8688
0.3765 0.8050 0.8095
0.6235 0.1950 0.1905
0.2050 0.3686 0.4126
0.5000 0.0000 0.5000
0.7950 0.6314 0.5874
0.0110 0.6610 0.8233
0.1901 0.7607 0.5485
0.3005 0.0157 0.2957
0.4167 0.1916 0.9763
0.4406 0.4543 0.6556
0.5594 0.5457 0.3444
0.5833 0.8084 0.0237
0.6995 0.9843 0.7043
0.8099 0.2393 0.4515
0.9890 0.3390 0.1767
```

Peak list (12 most intense, 2θ = 10–90°, sorted by position)
12.2°, d 7.271, rel. 100
17.9°, d 4.965, rel. 75
18.5°, d 4.805, rel. 29
21.2°, d 4.187, rel. 13
25.9°, d 3.445, rel. 13
27.5°, d 3.240, rel. 18
35.6°, d 2.519, rel. 27
36.9°, d 2.434, rel. 20
40.1°, d 2.251, rel. 40
41.2°, d 2.190, rel. 42
46.4°, d 1.958, rel. 32
64.0°, d 1.455, rel. 17

***

11.
The following is a computed X-ray powder pattern of Cs2TlSnI6. It was derived from DFT lattice parameters and positions (GGA-PBE), using λ = 1.5418 Å (Cu Kα).

Structure:
```
Cs2TlSnI6
1.0
6.2539 0.0000 0.0000
0.0000 6.2539 0.0000
0.0000 0.0000 12.6368
Cs Tl Sn I
2 1 1 6
direct
0.0000 0.0000 0.2429
0.0000 0.0000 0.7571
0.5000 0.5000 0.0000
0.5000 0.5000 0.5000
0.0000 0.5000 0.0000
0.0000 0.5000 0.5000
0.5000 0.0000 0.0000
0.5000 0.0000 0.5000
0.5000 0.5000 0.2562
0.5000 0.5000 0.7438
```

Peak list (12 most intense, 2θ = 10–90°, sorted by position)
14.2°, d 6.254, rel. 28
20.0°, d 4.445, rel. 29
24.6°, d 3.623, rel. 80
28.2°, d 3.159, rel. 51
28.5°, d 3.127, rel. 100
40.6°, d 2.222, rel. 76
40.8°, d 2.211, rel. 38
48.2°, d 1.887, rel. 24
50.4°, d 1.811, rel. 41
66.8°, d 1.401, rel. 17
66.9°, d 1.398, rel. 18
74.2°, d 1.279, rel. 26

***

12.
The following is a computed X-ray powder pattern of ZrBe9Os2. It was derived from DFT lattice parameters and positions (GGA-PBE), using λ = 1.5418 Å (Cu Kα).

Structure:
```
ZrBe9Os2
1.0
4.4242 0.0000 0.0000
-2.2121 3.8314 0.0000
0.0000 0.0000 13.9818
Zr Be Os
2 18 4
direct
0.3333 0.6667 0.2500
0.6667 0.3333 0.7500
0.0000 0.0000 0.0000
0.0000 0.0000 0.2500
0.0000 0.0000 0.5000
0.0000 0.0000 0.7500
0.1702 0.3405 0.6193
0.1702 0.3405 0.8807
0.1702 0.8298 0.6193
0.1702 0.8298 0.8807
0.3333 0.6667 0.7500
0.3405 0.1702 0.1193
0.3405 0.1702 0.3807
0.6595 0.8298 0.6193
0.6595 0.8298 0.8807
0.6667 0.3333 0.2500
0.8298 0.1702 0.1193
0.8298 0.1702 0.3807
0.8298 0.6595 0.1193
0.8298 0.6595 0.3807
0.3333 0.6667 0.0363
0.3333 0.6667 0.4637
0.6667 0.3333 0.5363
0.6667 0.3333 0.9637
```

Peak list (12 most intense, 2θ = 10–90°, sorted by position)
12.7°, d 6.991, rel. 100
23.2°, d 3.831, rel. 66
24.1°, d 3.695, rel. 51
25.5°, d 3.495, rel. 34
39.9°, d 2.259, rel. 97
40.8°, d 2.212, rel. 73
42.9°, d 2.109, rel. 32
48.7°, d 1.869, rel. 48
51.6°, d 1.771, rel. 30
58.4°, d 1.580, rel. 28
64.7°, d 1.440, rel. 28
73.7°, d 1.286, rel. 32

***

13.
The following is a computed X-ray powder pattern of Ba4ZnPd. It was derived from DFT lattice parameters and positions (GGA-PBE), using λ = 1.5418 Å (Cu Kα).

Structure:
```
Ba4ZnPd
1.0
5.5745 -8.7816 0.0000
5.5745 8.7816 0.0000
-5.1191 0.0000 5.5852
Ba Zn Pd
8 2 2
direct
0.9998 0.3487 0.1923
0.0002 0.6513 0.8077
0.2321 0.3894 0.8090
0.3487 0.9998 0.6923
0.3894 0.2321 0.3090
0.6106 0.7679 0.6910
0.6513 0.0002 0.3077
0.7679 0.6106 0.1910
0.0027 0.9973 0.7500
0.9973 0.0027 0.2500
0.3042 0.6958 0.7500
0.6958 0.3042 0.2500
```

Peak list (12 most intense, 2θ = 10–90°, sorted by position)
12.7°, d 6.957, rel. 22
23.5°, d 3.788, rel. 18
25.1°, d 3.546, rel. 34
25.8°, d 3.447, rel. 100
30.1°, d 2.965, rel. 28
31.2°, d 2.868, rel. 12
32.1°, d 2.793, rel. 23
32.2°, d 2.778, rel. 15
36.2°, d 2.481, rel. 20
42.4°, d 2.131, rel. 11
42.7°, d 2.118, rel. 21
44.3°, d 2.043, rel. 12